# La2Nd3H8
Simulated XRD peak list, λ = 1.5418 Å (Cu Kα). Input: DFT lattice parameters and positions (GGA-PBE).

Cell and atoms:
Cell lengths 6.6061, 3.7504, 9.3019 Å; angles 90.00, 110.38, 90.00 degrees
Fractional positions:
La (0.0571, 0.0000, 0.2890)
La (0.9429, 0.0000, 0.7110)
Nd (0.4057, 0.5000, 0.6543)
Nd (0.5000, 0.0000, 0.0000)
Nd (0.5943, 0.5000, 0.3457)
H (0.1866, 0.0000, 0.5658)
H (0.2462, 0.5000, 0.8465)
H (0.2697, 0.5000, 0.3890)
H (0.3876, 0.0000, 0.2169)
H (0.6124, 0.0000, 0.7831)
H (0.7303, 0.5000, 0.6110)
H (0.7538, 0.5000, 0.1535)
H (0.8134, 0.0000, 0.4342)

The 6 most intense peaks (5 to 70 degrees two-theta), by angle:
2θ 27.81, I = 25; 2θ 28.85, I = 30; 2θ 29.00, I = 23; 2θ 30.76, I = 26; 2θ 31.46, I = 100; 2θ 48.26, I = 27



# Re2SbP
Simulated XRD peak list, λ = 1.5418 Å (Cu Kα). Input: DFT lattice parameters and positions (GGA-PBE).

Cell and atoms:
Cell lengths 2.9847, 2.9847, 8.0283 Å; angles 90.00, 90.00, 90.00 degrees
Fractional positions:
Re (0.0000, 0.0000, 0.0000)
Re (0.5000, 0.5000, 0.2180)
Sb (0.0000, 0.0000, 0.4639)
P (0.5000, 0.5000, 0.8336)

The 6 most intense peaks (5 to 70 degrees two-theta), by angle:
2θ 11.02, I = 87; 2θ 37.55, I = 100; 2θ 42.85, I = 39; 2θ 45.53, I = 25; 2θ 62.21, I = 13; 2θ 64.02, I = 16



# TmAg3Hg3
Simulated XRD peak list, λ = 1.5418 Å (Cu Kα). Input: DFT lattice parameters and positions (GGA-PBE).

Cell and atoms:
Cell lengths 8.1082, 8.1082, 8.1082 Å; angles 52.97, 52.97, 52.97 degrees
Fractional positions:
Tm (0.1721, 0.1721, 0.1721)
Tm (0.8279, 0.8279, 0.8279)
Ag (0.0778, 0.2518, 0.5601)
Ag (0.2518, 0.5601, 0.0778)
Ag (0.4399, 0.9222, 0.7482)
Ag (0.5601, 0.0778, 0.2518)
Ag (0.7482, 0.4399, 0.9222)
Ag (0.9222, 0.7482, 0.4399)
Hg (0.2067, 0.4043, 0.7000)
Hg (0.3000, 0.7933, 0.5957)
Hg (0.4043, 0.7000, 0.2067)
Hg (0.5957, 0.3000, 0.7933)
Hg (0.7000, 0.2067, 0.4043)
Hg (0.7933, 0.5957, 0.3000)

The 6 most intense peaks (5 to 70 degrees two-theta), by angle:
2θ 27.81, I = 46; 2θ 33.31, I = 26; 2θ 35.84, I = 100; 2θ 38.27, I = 84; 2θ 39.02, I = 34; 2θ 46.56, I = 27



# La4Pr3Nd4
Simulated XRD peak list, λ = 1.5418 Å (Cu Kα). Input: DFT lattice parameters and positions (GGA-PBE).

Cell and atoms:
Cell lengths 11.0991, 6.8286, 6.8286 Å; angles 51.17, 90.00, 90.00 degrees
Fractional positions:
La (0.0000, 0.0000, 0.0000)
La (0.2121, 0.4638, 0.4638)
La (0.5000, 0.9217, 0.9217)
La (0.7879, 0.4638, 0.4638)
Pr (0.1924, 0.7650, 0.7650)
Pr (0.5000, 0.6268, 0.6268)
Pr (0.8076, 0.7650, 0.7650)
Nd (0.0000, 0.2772, 0.2772)
Nd (0.2911, 0.1283, 0.1283)
Nd (0.5000, 0.3269, 0.3269)
Nd (0.7089, 0.1283, 0.1283)

The 6 most intense peaks (5 to 70 degrees two-theta), by angle:
2θ 29.41, I = 35; 2θ 30.12, I = 17; 2θ 30.31, I = 39; 2θ 31.05, I = 100; 2θ 32.26, I = 15; 2θ 54.31, I = 21